Diffraction record for LaNdDyMg. The powder X-ray diffraction pattern is simulated, not measured: it uses a crystal structure in Alexandria, relaxed with PBE and Cu Kα, 1.54184 Å.

Principal peaks in the range 2θ = 10–90°, in order of rising 2θ:
- 3.764 Å, intensity 99, hkl 1 0 0
- 3.471 Å, intensity 225, hkl 1 0 1
- 2.993 Å, intensity 100, hkl 0 0 3
- 2.884 Å, intensity 1000, hkl 1 0 2
- 2.662 Å, intensity 439, hkl 1 1 0
- 2.245 Å, intensity 93, hkl 0 0 4
- 1.989 Å, intensity 126, hkl 1 1 3
- 1.882 Å, intensity 159, hkl 2 0 0
- 1.716 Å, intensity 163, hkl 1 1 4
- 1.621 Å, intensity 112, hkl 1 0 5
- 1.576 Å, intensity 327, hkl 2 1 2
- 1.442 Å, intensity 91, hkl 2 0 4

Cell and atoms:
```
LaNdDyMg
1.0
3.7640 0.0000 0.0000
0.0000 3.7640 0.0000
0.0000 0.0000 8.9785
La Nd Dy Mg
1 1 1 1
Direct
0.0000 0.0000 0.0000
0.5000 0.5000 0.2852
0.5000 0.5000 0.7269
0.0000 0.0000 0.5148
```



Diffraction record for LaPrNd2Ho2. The powder X-ray diffraction pattern is simulated, not measured: it uses a crystal structure in Alexandria, relaxed with PBE and Cu Kα, 1.54184 Å.

Principal peaks in the range 2θ = 10–90°, in order of rising 2θ:
- 2.901 Å, intensity 870, hkl 2 2 0
- 2.890 Å, intensity 1000, hkl 0 3 1
- 2.244 Å, intensity 140, hkl 2 3 1
- 2.047 Å, intensity 323, hkl 2 2 2
- 1.780 Å, intensity 81, hkl 4 0 0
- 1.670 Å, intensity 472, hkl 0 3 3
- 1.515 Å, intensity 287, hkl 4 3 1
- 1.445 Å, intensity 122, hkl 0 6 2
- 1.293 Å, intensity 145, hkl 2 5 3
- 1.217 Å, intensity 139, hkl 4 6 0
- 1.122 Å, intensity 111, hkl 4 6 2
- 1.093 Å, intensity 124, hkl 0 3 5

Cell and atoms:
```
LaPrNd2Ho2
1.0
7.1193 0.0000 0.0000
0.0000 10.0059 0.0000
0.0000 0.0000 5.7825
La Pr Nd Ho
2 2 4 4
Direct
0.0000 0.0000 0.0000
0.5000 0.5000 0.5000
0.0000 0.5000 0.5000
0.5000 0.0000 0.0000
0.2492 0.3331 0.0000
0.2508 0.8331 0.5000
0.7492 0.1669 0.5000
0.7508 0.6669 0.0000
0.2503 0.1666 0.5000
0.2497 0.6666 0.0000
0.7503 0.3334 0.0000
0.7497 0.8334 0.5000
```



Diffraction record for Ac6TcHg2. The powder X-ray diffraction pattern is simulated, not measured: it uses a crystal structure in Alexandria, relaxed with PBE and Cu Kα, 1.54184 Å.

Principal peaks in the range 2θ = 10–90°, in order of rising 2θ:
- 3.419 Å, intensity 204, hkl 1 2 0
- 3.380 Å, intensity 186, hkl 1 0 2
- 3.326 Å, intensity 339, hkl 1 0 -4
- 3.293 Å, intensity 1000, hkl 0 2 2
- 3.265 Å, intensity 201, hkl 2 1 -3
- 3.030 Å, intensity 191, hkl 1 2 1
- 2.804 Å, intensity 257, hkl 0 0 4
- 2.770 Å, intensity 227, hkl 2 2 -2
- 2.750 Å, intensity 226, hkl 0 2 3
- 2.549 Å, intensity 238, hkl 1 3 -1
- 1.909 Å, intensity 197, hkl 1 2 4
- 1.893 Å, intensity 248, hkl 2 1 3

Cell and atoms:
```
Ac6TcHg2
1.0
7.5769 0.0000 0.0000
0.0000 8.1198 0.0000
-7.3478 0.0000 11.2173
Ac Tc Hg
12 2 4
Direct
0.1318 0.0189 0.2483
0.1318 0.4811 0.7483
0.2412 0.6946 0.0551
0.2412 0.8054 0.5551
0.3633 0.1925 0.0539
0.3633 0.3075 0.5539
0.6367 0.6925 0.4461
0.6367 0.8075 0.9461
0.7588 0.1946 0.4449
0.7588 0.3054 0.9449
0.8682 0.5189 0.2517
0.8682 0.9811 0.7517
0.0000 0.0000 0.0000
0.0000 0.5000 0.5000
0.2993 0.0947 0.7564
0.2993 0.4053 0.2564
0.7007 0.5947 0.7436
0.7007 0.9053 0.2436
```



Please write out number 1 again, unchanged.
Diffraction record for LaNdDyMg. The powder X-ray diffraction pattern is simulated, not measured: it uses a crystal structure in Alexandria, relaxed with PBE and Cu Kα, 1.54184 Å.

Principal peaks in the range 2θ = 10–90°, in order of rising 2θ:
- 3.764 Å, intensity 99, hkl 1 0 0
- 3.471 Å, intensity 225, hkl 1 0 1
- 2.993 Å, intensity 100, hkl 0 0 3
- 2.884 Å, intensity 1000, hkl 1 0 2
- 2.662 Å, intensity 439, hkl 1 1 0
- 2.245 Å, intensity 93, hkl 0 0 4
- 1.989 Å, intensity 126, hkl 1 1 3
- 1.882 Å, intensity 159, hkl 2 0 0
- 1.716 Å, intensity 163, hkl 1 1 4
- 1.621 Å, intensity 112, hkl 1 0 5
- 1.576 Å, intensity 327, hkl 2 1 2
- 1.442 Å, intensity 91, hkl 2 0 4

Cell and atoms:
```
LaNdDyMg
1.0
3.7640 0.0000 0.0000
0.0000 3.7640 0.0000
0.0000 0.0000 8.9785
La Nd Dy Mg
1 1 1 1
Direct
0.0000 0.0000 0.0000
0.5000 0.5000 0.2852
0.5000 0.5000 0.7269
0.0000 0.0000 0.5148
```